Theoretical XRD peak list
Compound: Pd3Pb2Au2
Radiation: copper Kα
Structure: a structure optimized by DFT (GGA-PBE)

Most intense lines, 2θ from 5° to 70°, in order of rising 2θ:
27.48°, I 29
30.27°, I 8
36.77°, I 48
38.10°, I 100
40.37°, I 36
47.62°, I 7
53.99°, I 16
56.72°, I 13
67.99°, I 16
68.86°, I 18

Cell and atoms:
```
data_Pd3Pb2Au2
_space_group_name_H-M_alt 'C 1 2/m 1'
_space_group_IT_number 12
_space_group_name_Hall '-C 2y'
_cell_length_a 8.1812
_cell_length_b 4.7232
_cell_length_c 7.6130
_cell_angle_alpha 90.00
_cell_angle_beta 110.89
_cell_angle_gamma 90.00
loop_
_atom_site_label
_atom_site_fract_x
_atom_site_fract_y
_atom_site_fract_z
Pd1 0.0000 0.0000 0.0000
Pd2 0.2349 0.5000 0.2062
Pb1 0.0996 0.5000 0.7980
Au1 0.1342 0.0000 0.4043
```